Structure and simulated X-ray diffraction stick pattern of TcMoO4 (a cell relaxed with PBE+U; CuKα).
Peak positions follow from Bragg's law for the DFT cell and can differ from measured ones.

Top 12 peaks for 5° ≤ 2θ ≤ 70°, sorted by position:
24.54 deg, rel. 75; 30.13 deg, rel. 100; 34.83 deg, rel. 23; 35.91 deg, rel. 39; 43.07 deg, rel. 31; 51.76 deg, rel. 13; 52.79 deg, rel. 23; 53.58 deg, rel. 47; 54.96 deg, rel. 12; 59.57 deg, rel. 14; 63.16 deg, rel. 17; 63.91 deg, rel. 13

Structure:
```
data_TcMoO4
_chemical_formula_sum 'Tc2 Mo2 O8'
_cell_length_a 5.151
_cell_length_b 4.690
_cell_length_c 5.720
_cell_angle_alpha 90.00
_cell_angle_beta 90.00
_cell_angle_gamma 90.00
_symmetry_space_group_name_H-M 'P 1'
_symmetry_Int_Tables_number 1
loop_
_symmetry_equiv_pos_as_xyz
'x,y,z'
loop_
_atom_site_label
_atom_site_type_symbol
_atom_site_fract_x
_atom_site_fract_y
_atom_site_fract_z
Tc1 Tc 0.000 0.000 0.000
Tc2 Tc 0.000 0.500 0.500
Mo1 Mo 0.500 0.000 0.265
Mo2 Mo 0.500 0.500 0.765
O1 O 0.152 0.246 0.256
O2 O 0.152 0.254 0.756
O3 O 0.331 0.736 0.501
O4 O 0.331 0.764 0.001
O5 O 0.669 0.236 0.001
O6 O 0.669 0.264 0.501
O7 O 0.848 0.746 0.756
O8 O 0.848 0.754 0.256
```